(1)
Simulated XRD peak list
Compound: NaSrSmMnO6
Radiation: Cu Kα (λ = 1.5418 Å)
Structure: a DFT-relaxed cell (PBE+U, the Materials Project)
Lines closer than 0.1° are merged.

Principal peaks in the range 15 to 90 degrees two-theta, by intensity:
d (Å)  two_theta  I_rel
2.940  30.4  100
1.698  54.0  39
2.079  43.5  37
4.801  18.5  27
4.158  21.4  25
1.470  63.3  22
2.508  35.8  21
1.111  87.8  21

```
NaSrSmMnO6
1.0
0.000 4.158 4.158
4.158 0.000 4.158
4.158 4.158 0.000
Na Sr Sm Mn O
1 1 1 1 6
Direct
0.000 0.000 0.000 Na
0.500 0.500 0.500 Sr
0.750 0.750 0.750 Sm
0.250 0.250 0.250 Mn
0.022 0.022 0.478 O
0.022 0.478 0.022 O
0.022 0.478 0.478 O
0.478 0.022 0.022 O
0.478 0.022 0.478 O
0.478 0.478 0.022 O
```

=====

(2)
Simulated XRD peak list
Compound: NaYMnWO6
Radiation: Cu Kα (λ = 1.5418 Å)
Structure: a DFT-relaxed cell (PBE+U, the Materials Project)
Lines closer than 0.1° are merged.

Principal peaks in the range 15 to 90 degrees two-theta, by intensity:
d (Å)  two_theta  I_rel
2.807  31.9  100
4.630  19.2  32
1.634  56.3  29
4.520  19.6  29
3.942  22.6  29
2.839  31.5  25
1.971  46.1  24
2.738  32.7  24

```
NaYMnWO6
1.0
5.476 0.000 0.000
0.000 5.678 0.000
-0.019 0.000 7.999
Na Y Mn W O
2 2 2 2 12
Direct
0.247 0.000 0.499 Na
0.753 0.500 0.501 Na
0.234 0.099 0.998 Y
0.766 0.599 0.002 Y
0.253 0.543 0.743 Mn
0.747 0.043 0.257 Mn
0.263 0.532 0.257 W
0.737 0.032 0.743 W
0.030 0.841 0.821 O
0.069 0.808 0.177 O
0.170 0.571 0.479 O
0.366 0.488 0.007 O
0.411 0.228 0.285 O
0.438 0.199 0.725 O
0.562 0.699 0.275 O
0.589 0.728 0.715 O
0.634 0.988 0.993 O
0.830 0.071 0.521 O
0.931 0.308 0.823 O
0.970 0.341 0.179 O
```

=====

(3)
Simulated XRD peak list
Compound: Mn3NbNi2P6O24
Radiation: Cu Kα (λ = 1.5418 Å)
Structure: a DFT-relaxed cell (PBE+U, the Materials Project)
Lines closer than 0.1° are merged.

Principal peaks in the range 15 to 90 degrees two-theta, by intensity:
d (Å)  two_theta  I_rel
4.352  20.4  100
3.686  24.1  93
2.711  33.0  74
2.513  35.7  45
1.920  47.3  34
1.843  49.5  29
1.645  55.9  26
1.486  62.5  23

```
Mn3NbNi2P6O24
1.0
4.352 2.513 6.933
-4.352 2.513 6.933
0.000 -5.025 6.933
Mn Nb Ni P O
3 1 2 6 24
Direct
0.000 0.000 0.000 Mn
0.212 0.212 0.212 Mn
0.498 0.498 0.498 Mn
0.712 0.712 0.712 Nb
0.356 0.356 0.356 Ni
0.859 0.859 0.859 Ni
0.112 0.809 0.395 P
0.302 0.603 0.903 P
0.395 0.112 0.809 P
0.603 0.903 0.302 P
0.809 0.395 0.112 P
0.903 0.302 0.603 P
0.041 0.846 0.244 O
0.098 0.301 0.450 O
0.109 0.765 0.918 O
0.173 0.963 0.365 O
0.244 0.041 0.846 O
0.264 0.609 0.415 O
0.301 0.450 0.098 O
0.342 0.539 0.746 O
0.365 0.173 0.963 O
0.415 0.264 0.609 O
0.450 0.098 0.301 O
0.466 0.677 0.846 O
0.539 0.746 0.342 O
0.598 0.948 0.790 O
0.609 0.415 0.264 O
0.677 0.846 0.466 O
0.746 0.342 0.539 O
0.765 0.918 0.109 O
0.790 0.598 0.948 O
0.846 0.244 0.041 O
0.846 0.466 0.677 O
0.918 0.109 0.765 O
0.948 0.790 0.598 O
0.963 0.365 0.173 O
```

=====

(4)
Simulated XRD peak list
Compound: Mn2Nb2O9
Radiation: Cu Kα (λ = 1.5418 Å)
Structure: a DFT-relaxed cell (PBE+U, the Materials Project)
Lines closer than 0.1° are merged.

Principal peaks in the range 15 to 90 degrees two-theta, by intensity:
d (Å)  two_theta  I_rel
3.687  24.1  100
1.722  53.2  61
4.298  20.7  61
2.753  32.5  57
2.482  36.2  40
1.843  49.4  22
1.433  65.1  22
1.480  62.8  19

```
Mn2Nb2O9
1.0
4.963 0.000 0.000
-2.482 4.298 0.000
0.000 0.000 14.342
Mn Nb O
4 4 18
Direct
0.333 0.667 0.000 Mn
0.333 0.667 0.500 Mn
0.667 0.333 0.000 Mn
0.667 0.333 0.500 Mn
0.000 0.000 0.160 Nb
0.000 0.000 0.340 Nb
0.000 0.000 0.660 Nb
0.000 0.000 0.840 Nb
0.000 0.293 0.250 O
0.000 0.349 0.576 O
0.000 0.349 0.924 O
0.000 0.651 0.076 O
0.000 0.651 0.424 O
0.000 0.707 0.750 O
0.293 0.000 0.250 O
0.293 0.293 0.750 O
0.349 0.000 0.576 O
0.349 0.000 0.924 O
0.349 0.349 0.076 O
0.349 0.349 0.424 O
0.651 0.000 0.076 O
0.651 0.000 0.424 O
0.651 0.651 0.576 O
0.651 0.651 0.924 O
0.707 0.000 0.750 O
0.707 0.707 0.250 O
```

=====

(5)
Simulated XRD peak list
Compound: Mn3Nb6O11
Radiation: Cu Kα (λ = 1.5418 Å)
Structure: a DFT-relaxed cell (PBE+U, the Materials Project)
Lines closer than 0.1° are merged.

Principal peaks in the range 15 to 90 degrees two-theta, by intensity:
d (Å)  two_theta  I_rel
2.198  41.1  100
2.523  35.6  68
2.863  31.2  67
3.136  28.5  48
1.541  60.1  44
1.568  58.9  42
5.337  16.6  38
1.789  51.0  35

```
Mn3Nb6O11
1.0
6.163 0.000 0.000
-3.081 5.337 0.000
0.000 0.000 7.750
Mn Nb O
3 6 11
Direct
0.000 0.000 0.000 Mn
0.333 0.667 0.930 Mn
0.667 0.333 0.070 Mn
0.154 0.309 0.352 Nb
0.154 0.846 0.352 Nb
0.309 0.154 0.648 Nb
0.691 0.846 0.352 Nb
0.846 0.154 0.648 Nb
0.846 0.691 0.648 Nb
0.000 0.500 0.500 O
0.156 0.312 0.816 O
0.156 0.844 0.816 O
0.312 0.156 0.184 O
0.333 0.667 0.197 O
0.500 0.000 0.500 O
0.500 0.500 0.500 O
0.667 0.333 0.803 O
0.688 0.844 0.816 O
0.844 0.156 0.184 O
0.844 0.688 0.184 O
```